Entry 1:
For Na3W4O12, a PBE+U-relaxed structure gives the theoretical powder diffraction line list in this record (a wavelength of 1.5418 Å).
Kinematic intensities with the Lorentz-polarization factor, no thermal factor.

Largest 10 diffraction maxima, low angle first, 15° ≤ 2θ ≤ 90°:
- 2θ 22.52, d = 3.948 Å, I 100
- 2θ 22.63, d = 3.928 Å, I 49
- 2θ 32.06, d = 2.791 Å, I 42
- 2θ 32.15, d = 2.785 Å, I 84
- 2θ 39.61, d = 2.275 Å, I 19
- 2θ 51.76, d = 1.766 Å, I 21
- 2θ 51.86, d = 1.763 Å, I 21
- 2θ 52.00, d = 1.759 Å, I 21
- 2θ 57.16, d = 1.612 Å, I 17
- 2θ 57.36, d = 1.606 Å, I 17

Crystal structure
Cell lengths 11.1794, 7.8568, 11.1513 Å; angles 90.00, 90.12, 90.00 degrees
Space group Cm (No. 8)
One atom of each set of equivalent atoms:
Na (0.0000, 0.0000, 0.0000) [2 per cell]
Na (0.0000, 0.0000, 0.4961) [2 per cell]
Na (0.0012, 0.5000, 0.4965) [2 per cell]
Na (0.2500, 0.5000, 0.7501) [2 per cell]
Na (0.2511, 0.0000, 0.2463) [2 per cell]
Na (0.2512, 0.0000, 0.7500) [2 per cell]
W (0.0006, 0.2513, 0.2460) [4 per cell]
W (0.0005, 0.2511, 0.7501) [4 per cell]
W (0.2504, 0.2510, 0.4962) [4 per cell]
W (0.2506, 0.2512, 0.0002) [4 per cell]
O (0.0000, 0.5000, 0.7592) [2 per cell]
O (0.0008, 0.0000, 0.7337) [2 per cell]
O (0.0030, 0.0000, 0.2608) [2 per cell]
O (0.1152, 0.2653, 0.6186) [4 per cell]
O (0.1177, 0.2304, 0.1213) [4 per cell]
O (0.1297, 0.2621, 0.3683) [4 per cell]
O (0.1345, 0.2320, 0.8648) [4 per cell]
O (0.2376, 0.0000, 0.5000) [2 per cell]
O (0.2457, 0.5000, 0.9984) [2 per cell]
O (0.2573, 0.0000, 0.9972) [2 per cell]
O (0.2617, 0.5000, 0.4981) [2 per cell]
O (0.3668, 0.2328, 0.6293) [4 per cell]
O (0.3713, 0.2628, 0.1307) [4 per cell]
O (0.3832, 0.2680, 0.8750) [4 per cell]
O (0.3862, 0.2333, 0.3781) [4 per cell]
O (0.4986, 0.0000, 0.2381) [2 per cell]



Entry 2:
For MnMoH2SeO7, a PBE+U-relaxed structure gives the theoretical powder diffraction line list in this record (a wavelength of 1.5418 Å).
Kinematic intensities with the Lorentz-polarization factor, no thermal factor.

Largest 10 diffraction maxima, low angle first, 15° ≤ 2θ ≤ 90°:
- 2θ 27.48, d = 3.246 Å, I 73
- 2θ 27.85, d = 3.203 Å, I 78
- 2θ 28.26, d = 3.158 Å, I 24
- 2θ 28.39, d = 3.144 Å, I 54
- 2θ 29.11, d = 3.068 Å, I 68
- 2θ 30.68, d = 2.914 Å, I 33
- 2θ 31.51, d = 2.839 Å, I 100
- 2θ 34.13, d = 2.627 Å, I 25
- 2θ 49.09, d = 1.856 Å, I 36
- 2θ 51.17, d = 1.785 Å, I 28

Crystal structure
Cell lengths 6.6108, 12.9860, 7.1872 Å; angles 90.00, 90.13, 90.00 degrees
Space group P2_1 (No. 4)
One atom of each set of equivalent atoms:
Mn (0.0205, 0.0000, 0.4995) [2 per cell]
Mn (0.3916, 0.7730, 0.9934) [2 per cell]
Mo (0.0841, 0.2636, 0.2527) [2 per cell]
Mo (0.0867, 0.2621, 0.7522) [2 per cell]
H (0.2786, 0.5673, 0.9107) [2 per cell]
H (0.3767, 0.5351, 0.3801) [2 per cell]
H (0.3942, 0.5375, 0.5931) [2 per cell]
H (0.4961, 0.0429, 0.0321) [2 per cell]
Se (0.0884, 0.9873, 0.9974) [2 per cell]
Se (0.3741, 0.8144, 0.4947) [2 per cell]
O (0.0240, 0.4286, 0.1968) [2 per cell]
O (0.0304, 0.7444, 0.9976) [2 per cell]
O (0.0390, 0.4307, 0.8139) [2 per cell]
O (0.0890, 0.1320, 0.3155) [2 per cell]
O (0.0914, 0.1314, 0.6857) [2 per cell]
O (0.1039, 0.3228, 0.5041) [2 per cell]
O (0.2388, 0.7686, 0.2999) [2 per cell]
O (0.2408, 0.7698, 0.6910) [2 per cell]
O (0.2983, 0.5501, 0.4918) [2 per cell]
O (0.3186, 0.9427, 0.4933) [2 per cell]
O (0.3286, 0.9370, 0.0048) [2 per cell]
O (0.3378, 0.2848, 0.1868) [2 per cell]
O (0.3417, 0.2791, 0.8220) [2 per cell]
O (0.4058, 0.6004, 0.9462) [2 per cell]



Entry 3:
For MnB4O7, a PBE+U-relaxed structure gives the theoretical powder diffraction line list in this record (a wavelength of 1.5418 Å).
Kinematic intensities with the Lorentz-polarization factor, no thermal factor.

Largest 10 diffraction maxima, low angle first, 15° ≤ 2θ ≤ 90°:
- 2θ 22.99, d = 3.869 Å, I 32
- 2θ 26.54, d = 3.358 Å, I 29
- 2θ 31.22, d = 2.865 Å, I 97
- 2θ 32.68, d = 2.740 Å, I 100
- 2θ 37.72, d = 2.385 Å, I 46
- 2θ 38.02, d = 2.366 Å, I 29
- 2θ 44.78, d = 2.024 Å, I 30
- 2θ 46.85, d = 1.939 Å, I 25
- 2θ 46.97, d = 1.934 Å, I 33
- 2θ 47.98, d = 1.896 Å, I 57

Crystal structure
Cell lengths 10.9795, 6.7164, 5.2453 Å; angles 90.00, 90.00, 90.00 degrees
Space group Cmcm (No. 63)
One atom of each set of equivalent atoms:
Mn (0.0000, 0.2224, 0.2500) [4 per cell]
B (0.1194, 0.2042, 0.7500) [8 per cell]
B (0.2068, 0.5000, 0.0000) [8 per cell]
O (0.0000, 0.0993, 0.7500) [4 per cell]
O (0.1330, 0.3228, 0.5243) [16 per cell]
O (0.2157, 0.0271, 0.7500) [8 per cell]



Entry 4:
For LiTi3VO8, a PBE+U-relaxed structure gives the theoretical powder diffraction line list in this record (a wavelength of 1.5418 Å).
Kinematic intensities with the Lorentz-polarization factor, no thermal factor.

Largest 10 diffraction maxima, low angle first, 15° ≤ 2θ ≤ 90°:
- 2θ 17.55, d = 5.054 Å, I 100
- 2θ 35.11, d = 2.556 Å, I 27
- 2θ 42.23, d = 2.140 Å, I 51
- 2θ 46.06, d = 1.971 Å, I 6
- 2θ 55.26, d = 1.662 Å, I 15
- 2θ 60.51, d = 1.530 Å, I 12
- 2θ 62.00, d = 1.497 Å, I 14
- 2θ 64.98, d = 1.435 Å, I 12
- 2θ 77.88, d = 1.227 Å, I 6
- 2θ 78.60, d = 1.217 Å, I 5

Crystal structure
Cell lengths 5.9877, 5.9877, 15.1633 Å; angles 90.00, 90.00, 120.00 degrees
Space group R-3m (No. 166, hexagonal axes)
One atom of each set of equivalent atoms:
Li (0.0000, 0.0000, 0.0000) [3 per cell]
Ti (0.0000, 0.5000, 0.5000) [9 per cell]
V (0.0000, 0.0000, 0.5000) [3 per cell]
O (0.0000, 0.0000, 0.2319) [6 per cell]
O (0.0136, 0.5068, 0.7663) [18 per cell]



Entry 5:
For Mn6O5F7, a PBE+U-relaxed structure gives the theoretical powder diffraction line list in this record (a wavelength of 1.5418 Å).
Kinematic intensities with the Lorentz-polarization factor, no thermal factor.

Largest 10 diffraction maxima, low angle first, 15° ≤ 2θ ≤ 90°:
- 2θ 26.06, d = 3.419 Å, I 100
- 2θ 26.93, d = 3.311 Å, I 93
- 2θ 34.05, d = 2.633 Å, I 45
- 2θ 34.16, d = 2.625 Å, I 27
- 2θ 34.43, d = 2.605 Å, I 21
- 2θ 51.23, d = 1.783 Å, I 30
- 2θ 53.60, d = 1.710 Å, I 16
- 2θ 55.51, d = 1.655 Å, I 16
- 2θ 58.70, d = 1.573 Å, I 16
- 2θ 65.43, d = 1.426 Å, I 20

Crystal structure
Cell lengths 4.7278, 5.7232, 7.9241 Å; angles 85.91, 89.39, 88.11 degrees
Space group P1 (No. 1)
One atom of each set of equivalent atoms:
Mn (0.0000, 0.0000, 0.0000) [1 per cell]
Mn (0.0142, 0.6653, 0.3310) [1 per cell]
Mn (0.0387, 0.3326, 0.6272) [1 per cell]
Mn (0.4990, 0.1522, 0.3040) [1 per cell]
Mn (0.5266, 0.4940, 0.9874) [1 per cell]
Mn (0.5664, 0.8201, 0.6659) [1 per cell]
O (0.2222, 0.3717, 0.4104) [1 per cell]
O (0.3412, 0.2064, 0.0778) [1 per cell]
O (0.7181, 0.7806, 0.8942) [1 per cell]
O (0.8242, 0.9545, 0.2310) [1 per cell]
O (0.8406, 0.6185, 0.5523) [1 per cell]
F (0.2219, 0.0325, 0.7437) [1 per cell]
F (0.2274, 0.6980, 0.1106) [1 per cell]
F (0.3260, 0.5255, 0.7667) [1 per cell]
F (0.3393, 0.8544, 0.4439) [1 per cell]
F (0.7062, 0.1322, 0.5366) [1 per cell]
F (0.7366, 0.4592, 0.2009) [1 per cell]
F (0.8333, 0.2951, 0.8531) [1 per cell]